Computed powder XRD pattern of RbNb2WO8 for a wavelength of 1.5418 Å, from a GGA+U-relaxed structure.
Intensities are scaled so that the largest is 100.

Largest 10 diffraction maxima, in order of falling intensity, 10° ≤ 2θ ≤ 90°:
Position (°2θ), I_rel
20.61, 100
27.80, 85
19.49, 73
33.15, 50
28.29, 49
35.25, 26
48.56, 21
36.49, 18
53.23, 18
49.78, 18

Structure:
Cell lengths 5.519, 5.519, 7.502 Å; angles 104.58, 104.58, 69.73 degrees
Sites, in units of the cell vectors:
Rb 0.000 0.000 0.000
Nb 0.439 0.439 0.778
Nb 0.561 0.561 0.222
W 0.000 0.000 0.500
O 0.218 0.218 0.617
O 0.220 0.742 0.680
O 0.258 0.780 0.320
O 0.362 0.362 0.997
O 0.638 0.638 0.003
O 0.742 0.220 0.680
O 0.780 0.258 0.320
O 0.782 0.782 0.383